# NaHfCuTeS2
Calculated powder XRD pattern, a wavelength of 1.5418 Å. Input: the GGA-PBE geometry in OQMD.
Peak positions follow from Bragg's law for the DFT cell and can differ from measured ones.

Most intense lines, 2θ from 10° to 90°, in order of rising 2θ:
2θ (°)  Rel. int.  hkl
12.81  100  1 0 -1
26.23  22  1 1 0
29.09  20  0 0 3
32.89  36  2 1 -1
33.67  22  2 1 0
46.07  20  2 1 -4

Cell: 7.800 3.821 9.681 Å, 90.00 107.95 90.00°
Atoms (fractional coordinates):
Na1 0.240 0.250 0.319
Na2 0.760 0.750 0.681
Hf1 0.285 0.750 0.816
Hf2 0.715 0.250 0.184
Cu1 0.080 0.250 0.593
Cu2 0.920 0.750 0.407
Te1 0.418 0.750 0.142
Te2 0.582 0.250 0.858
S1 0.080 0.250 0.831
S2 0.238 0.750 0.550
S3 0.762 0.250 0.450
S4 0.920 0.750 0.169